Record 1
Structure and theoretical powder diffractogram of H2S (DFT lattice parameters and positions (PBE); a wavelength of 1.5418 Å).

Principal peaks in the range 2θ = 5–70°, sorted by position:
2θ (°)  I_rel
24.53  1000
28.00  330
29.17  137
40.88  181
47.50  194
48.99  99

Crystal structure
```
H2S
1.0
-4.5059 4.5059 6.1233
4.5059 -4.5059 6.1233
4.5059 4.5059 -6.1233
H S
16 8
Cartesian
1.9616 1.5562 -0.9322 H
0.6967 -0.2914 2.1294 H
5.2027 0.2914 2.1294 H
2.5444 1.5562 0.9322 H
2.5444 -1.5562 5.1911 H
5.2027 -0.2914 3.9939 H
0.6967 0.2914 3.9939 H
1.9616 -1.5562 7.0555 H
2.5444 6.0622 -0.9322 H
3.8092 4.2145 2.1294 H
-0.6967 4.7974 2.1294 H
1.9616 6.0622 0.9322 H
1.9616 2.9497 5.1911 H
-0.6967 4.2145 3.9939 H
3.8092 4.7974 3.9939 H
2.5444 2.9497 7.0555 H
6.7589 2.0192 0.0000 S
4.2722 4.5059 -3.0617 S
4.2722 0.0000 3.0617 S
2.2530 2.4868 0.0000 S
2.2530 2.0192 6.1233 S
0.2338 4.5059 3.0617 S
0.2338 0.0000 9.1850 S
-2.2530 2.4868 6.1233 S
```

=====

Record 2
Structure and theoretical powder diffractogram of ScTl3F6 (DFT lattice parameters and positions (PBE); a wavelength of 1.5418 Å).

Principal peaks in the range 2θ = 5–70°, sorted by position:
2θ (°)  I_rel
26.98  1000
31.75  92
38.52  297
47.65  422
55.61  193
62.87  207

Crystal structure
```
ScTl3F6
1.0
0.0000 4.6744 4.6744
4.6744 0.0000 4.6744
4.6744 4.6744 0.0000
Sc Tl F
1 3 6
Cartesian
0.0000 0.0000 0.0000 Sc
2.3372 2.3372 2.3372 Tl
4.6744 4.6744 4.6744 Tl
7.0115 7.0115 7.0115 Tl
4.6744 4.6744 2.0322 F
4.6744 2.0322 4.6744 F
7.3165 4.6744 4.6744 F
2.0322 4.6744 4.6744 F
4.6744 7.3165 4.6744 F
4.6744 4.6744 7.3165 F
```